# Pr4CBr2Cl3
Theoretical XRD peak list, λ = 1.5418 Å (Cu Kα). Input: a DFT-relaxed cell (PBE, OQMD).
Intensities are scaled so that the largest is 100.

Atomic structure:
Unit cell a=9.212 b=9.212 c=8.213 alpha=103.21 beta=103.21 gamma=24.77
Element x y z (fractional)
1 Pr 0.003 0.003 0.286
2 Pr 0.355 0.355 0.419
3 Pr 0.645 0.645 0.581
4 Pr 0.997 0.997 0.714
5 C 0.500 0.500 0.500
6 Br 0.167 0.167 0.858
7 Br 0.833 0.833 0.142
8 Cl 0.171 0.171 0.343
9 Cl 0.500 0.500 0.000
10 Cl 0.829 0.829 0.657

Largest 12 diffraction maxima, in order of falling intensity, 2θ = 10–90°:
2theta, I/Imax
31.4, 100.0
30.7, 46.3
11.1, 42.9
30.9, 31.3
44.6, 29.7
44.4, 28.8
56.3, 20.5
13.1, 20.3
10.1, 20.1
34.2, 19.8
28.1, 19.5
45.9, 18.5